[1]
The following is a calculated X-ray diffraction stick pattern of SiNiSb2. It was derived from the GGA-PBE geometry in Alexandria, using Cu Kα.
Peak positions follow from Bragg's law for the DFT cell and can differ from measured ones.

Main lines, by angle (15 to 90 degrees two-theta):
| two_theta | d (Å) | I (rel.) |
| --- | --- | --- |
| 31.23 | 2.864 | 23 |
| 31.57 | 2.834 | 23 |
| 34.13 | 2.627 | 100 |
| 35.78 | 2.510 | 38 |
| 42.26 | 2.138 | 29 |
| 55.19 | 1.664 | 29 |

Lattice parameters (Å, degrees): 3.329 3.329 25.508 90.00 90.00 120.00
Positions (direct):
Si: 0.000 0.000 0.000
Si: 0.333 0.667 0.667
Si: 0.667 0.333 0.333
Ni: 0.000 0.000 0.282
Ni: 0.333 0.667 0.949
Ni: 0.667 0.333 0.616
Sb: 0.000 0.000 0.544
Sb: 0.000 0.000 0.759
Sb: 0.333 0.667 0.211
Sb: 0.333 0.667 0.425
Sb: 0.667 0.333 0.092
Sb: 0.667 0.333 0.877

[2]
The following is a calculated X-ray diffraction stick pattern of Si2Ni7Sb. It was derived from the GGA-PBE geometry in Alexandria, using Cu Kα.
Peak positions follow from Bragg's law for the DFT cell and can differ from measured ones.

Main lines, by angle (15 to 90 degrees two-theta):
| two_theta | d (Å) | I (rel.) |
| --- | --- | --- |
| 35.42 | 2.534 | 29 |
| 39.48 | 2.283 | 33 |
| 39.61 | 2.275 | 18 |
| 45.56 | 1.991 | 100 |
| 48.81 | 1.866 | 51 |
| 89.01 | 1.100 | 27 |

Lattice parameters (Å, degrees): 9.476 9.476 9.476 157.29 157.29 32.33
Positions (direct):
Si: 0.175 0.175 0.000
Si: 0.825 0.825 0.000
Ni: 0.000 0.000 0.000
Ni: 0.103 0.603 0.500
Ni: 0.250 0.750 0.500
Ni: 0.397 0.897 0.500
Ni: 0.603 0.103 0.500
Ni: 0.750 0.250 0.500
Ni: 0.897 0.397 0.500
Sb: 0.500 0.500 0.000

[3]
The following is a calculated X-ray diffraction stick pattern of Si2NiSb. It was derived from the GGA-PBE geometry in Alexandria, using Cu Kα.
Peak positions follow from Bragg's law for the DFT cell and can differ from measured ones.

Main lines, by angle (15 to 90 degrees two-theta):
| two_theta | d (Å) | I (rel.) |
| --- | --- | --- |
| 26.00 | 3.427 | 35 |
| 31.09 | 2.877 | 47 |
| 32.81 | 2.730 | 31 |
| 34.74 | 2.583 | 100 |
| 36.05 | 2.491 | 42 |
| 46.48 | 1.954 | 49 |

Lattice parameters (Å, degrees): 7.124 3.524 5.674 90.00 105.81 90.00
Positions (direct):
Si: 0.226 0.000 0.152
Si: 0.274 0.500 0.848
Si: 0.726 0.500 0.152
Si: 0.774 0.000 0.848
Ni: 0.000 0.500 0.000
Ni: 0.500 0.000 0.000
Sb: 0.000 0.000 0.500
Sb: 0.500 0.500 0.500

[4]
The following is a calculated X-ray diffraction stick pattern of SmNi4Sb2. It was derived from the GGA-PBE geometry in Alexandria, using Cu Kα.
Peak positions follow from Bragg's law for the DFT cell and can differ from measured ones.

Main lines, by angle (15 to 90 degrees two-theta):
| two_theta | d (Å) | I (rel.) |
| --- | --- | --- |
| 33.27 | 2.693 | 50 |
| 34.41 | 2.606 | 100 |
| 37.33 | 2.409 | 34 |
| 40.22 | 2.242 | 38 |
| 43.74 | 2.070 | 89 |
| 44.79 | 2.023 | 41 |

Lattice parameters (Å, degrees): 7.617 7.617 4.047 90.00 90.00 90.00
Positions (direct):
Sm: 0.000 0.000 0.000
Sm: 0.500 0.500 0.500
Ni: 0.090 0.361 0.500
Ni: 0.139 0.590 0.000
Ni: 0.361 0.090 0.500
Ni: 0.410 0.861 0.000
Ni: 0.590 0.139 0.000
Ni: 0.639 0.910 0.500
Ni: 0.861 0.410 0.000
Ni: 0.910 0.639 0.500
Sb: 0.218 0.782 0.500
Sb: 0.282 0.282 0.000
Sb: 0.718 0.718 0.000
Sb: 0.782 0.218 0.500

[5]
The following is a calculated X-ray diffraction stick pattern of Ni2SnSb. It was derived from the GGA-PBE geometry in Alexandria, using Cu Kα.
Peak positions follow from Bragg's law for the DFT cell and can differ from measured ones.

Main lines, by angle (15 to 90 degrees two-theta):
| two_theta | d (Å) | I (rel.) |
| --- | --- | --- |
| 31.31 | 2.857 | 100 |
| 44.10 | 2.054 | 55 |
| 45.53 | 1.992 | 18 |
| 45.69 | 1.986 | 37 |
| 56.33 | 1.633 | 13 |
| 60.58 | 1.528 | 15 |

Lattice parameters (Å, degrees): 7.970 6.870 5.117 90.00 90.00 90.00
Positions (direct):
Ni: 0.118 0.250 0.000
Ni: 0.118 0.250 0.500
Ni: 0.370 0.750 0.000
Ni: 0.370 0.750 0.500
Ni: 0.630 0.250 0.000
Ni: 0.630 0.250 0.500
Ni: 0.882 0.750 0.000
Ni: 0.882 0.750 0.500
Sn: 0.377 0.088 0.250
Sn: 0.377 0.412 0.750
Sn: 0.623 0.588 0.250
Sn: 0.623 0.912 0.750
Sb: 0.128 0.580 0.250
Sb: 0.128 0.920 0.750
Sb: 0.872 0.080 0.250
Sb: 0.872 0.420 0.750

[6]
The following is a calculated X-ray diffraction stick pattern of Ni2SnSb3. It was derived from the GGA-PBE geometry in Alexandria, using Cu Kα.
Peak positions follow from Bragg's law for the DFT cell and can differ from measured ones.

Main lines, by angle (15 to 90 degrees two-theta):
| two_theta | d (Å) | I (rel.) |
| --- | --- | --- |
| 30.27 | 2.953 | 38 |
| 31.08 | 2.878 | 100 |
| 31.29 | 2.859 | 98 |
| 40.96 | 2.204 | 30 |
| 46.01 | 1.973 | 33 |
| 51.90 | 1.762 | 64 |

Lattice parameters (Å, degrees): 3.946 8.294 8.412 90.00 90.00 90.00
Positions (direct):
Ni: 0.000 0.000 0.000
Ni: 0.000 0.500 0.500
Ni: 0.500 0.000 0.494
Ni: 0.500 0.500 0.994
Sn: 0.500 0.000 0.795
Sn: 0.500 0.500 0.295
Sb: 0.000 0.200 0.505
Sb: 0.000 0.300 0.005
Sb: 0.000 0.700 0.005
Sb: 0.000 0.800 0.505
Sb: 0.500 0.000 0.198
Sb: 0.500 0.500 0.698